No. 1
For BaNaGdS3, a DFT-relaxed cell (PBE, OQMD) gives the simulated X-ray powder pattern in this record (a wavelength of 1.5418 Å).
Kinematic intensities with the Lorentz-polarization factor, no thermal factor.

Crystal structure
a = 10.5301 Å, b = 4.2738 Å, c = 13.8423 Å
α = 90.00°, β = 90.00°, γ = 90.00°
Fractional positions:
Ba: 0.2428 0.2500 0.0050
Ba: 0.2572 0.7500 0.5050
Ba: 0.7428 0.2500 0.4950
Ba: 0.7572 0.7500 0.9950
Na: 0.2415 0.7500 0.7744
Na: 0.2585 0.2500 0.2744
Na: 0.7415 0.7500 0.7256
Na: 0.7585 0.2500 0.2256
Gd: 0.0081 0.7500 0.2525
Gd: 0.4919 0.2500 0.7525
Gd: 0.5081 0.7500 0.2475
Gd: 0.9919 0.2500 0.7475
S: 0.0395 0.7500 0.8798
S: 0.0573 0.2500 0.3816
S: 0.2432 0.2500 0.6720
S: 0.2568 0.7500 0.1720
S: 0.4427 0.7500 0.8816
S: 0.4605 0.2500 0.3798
S: 0.5395 0.7500 0.6202
S: 0.5573 0.2500 0.1184
S: 0.7432 0.2500 0.8280
S: 0.7568 0.7500 0.3280
S: 0.9427 0.7500 0.6184
S: 0.9605 0.2500 0.1202

The 10 most intense peaks (5 to 70 degrees two-theta), most intense first:
| two_theta | I_rel |
| --- | --- |
| 21.20 | 100 |
| 29.73 | 55 |
| 33.26 | 47 |
| 28.47 | 41 |
| 42.53 | 35 |
| 34.06 | 35 |
| 25.74 | 28 |
| 42.79 | 27 |
| 23.36 | 26 |
| 33.67 | 24 |

***

No. 2
For Ba3Gd4O9, a DFT-relaxed cell (PBE, OQMD) gives the simulated X-ray powder pattern in this record (a wavelength of 1.5418 Å).
Kinematic intensities with the Lorentz-polarization factor, no thermal factor.

Crystal structure
a = 9.2426 Å, b = 9.2426 Å, c = 9.2426 Å
α = 38.82°, β = 38.82°, γ = 38.82°
Fractional positions:
Ba: 0.0000 0.0000 0.0000
Ba: 0.1649 0.1649 0.1649
Ba: 0.5822 0.5822 0.5822
Gd: 0.3003 0.3003 0.3003
Gd: 0.4263 0.4263 0.4263
Gd: 0.7387 0.7387 0.7387
Gd: 0.8648 0.8648 0.8648
O: 0.0097 0.5819 0.1557
O: 0.0401 0.4453 0.5936
O: 0.1253 0.5748 0.7165
O: 0.1557 0.0097 0.5819
O: 0.4453 0.5936 0.0401
O: 0.5748 0.7165 0.1253
O: 0.5819 0.1557 0.0097
O: 0.5936 0.0401 0.4453
O: 0.7165 0.1253 0.5748

The 10 most intense peaks (5 to 70 degrees two-theta), most intense first:
| two_theta | I_rel |
| --- | --- |
| 29.07 | 100 |
| 29.64 | 83 |
| 42.00 | 42 |
| 51.89 | 37 |
| 51.53 | 24 |
| 43.35 | 16 |
| 60.26 | 15 |
| 68.58 | 15 |
| 61.57 | 11 |
| 69.49 | 11 |

***

No. 3
For Ba2Gd2Si4O13, a DFT-relaxed cell (PBE, OQMD) gives the simulated X-ray powder pattern in this record (a wavelength of 1.5418 Å).
Kinematic intensities with the Lorentz-polarization factor, no thermal factor.

Crystal structure
a = 6.9285 Å, b = 6.9285 Å, c = 17.4898 Å
α = 103.21°, β = 103.21°, γ = 44.09°
Fractional positions:
Ba: 0.1550 0.1663 0.3335
Ba: 0.1663 0.1550 0.8335
Ba: 0.8337 0.8450 0.1665
Ba: 0.8450 0.8337 0.6665
Gd: 0.1064 0.1229 0.5851
Gd: 0.1229 0.1064 0.0851
Gd: 0.8771 0.8936 0.9149
Gd: 0.8936 0.8771 0.4149
Si: 0.3485 0.4138 0.0424
Si: 0.3923 0.4806 0.8163
Si: 0.4138 0.3485 0.5424
Si: 0.4806 0.3923 0.3163
Si: 0.5194 0.6077 0.6837
Si: 0.5862 0.6515 0.4576
Si: 0.6077 0.5194 0.1837
Si: 0.6515 0.5862 0.9576
O: 0.1045 0.7544 0.0377
O: 0.1051 0.5599 0.8056
O: 0.1585 0.6811 0.3106
O: 0.2422 0.4409 0.4568
O: 0.2456 0.8955 0.4623
O: 0.2543 0.3331 0.0961
O: 0.3189 0.8415 0.1894
O: 0.3331 0.2543 0.5961
O: 0.3346 0.6305 0.5986
O: 0.3532 0.6468 0.7500
O: 0.3695 0.6654 0.9014
O: 0.4401 0.8949 0.6944
O: 0.4409 0.2422 0.9568
O: 0.5591 0.7578 0.0432
O: 0.5599 0.1051 0.3056
O: 0.6305 0.3346 0.0986
O: 0.6468 0.3532 0.2500
O: 0.6654 0.3695 0.4014
O: 0.6669 0.7457 0.4039
O: 0.6811 0.1585 0.8106
O: 0.7457 0.6669 0.9039
O: 0.7544 0.1045 0.5377
O: 0.7578 0.5591 0.5432
O: 0.8415 0.3189 0.6894
O: 0.8949 0.4401 0.1944
O: 0.8955 0.2456 0.9623

The 10 most intense peaks (5 to 70 degrees two-theta), most intense first:
| two_theta | I_rel |
| --- | --- |
| 29.42 | 100 |
| 27.49 | 73 |
| 31.33 | 69 |
| 18.49 | 42 |
| 28.69 | 38 |
| 41.46 | 38 |
| 45.12 | 34 |
| 34.49 | 32 |
| 22.28 | 31 |
| 45.45 | 24 |

***

No. 4
For BaGd2Si3O10, a DFT-relaxed cell (PBE, OQMD) gives the simulated X-ray powder pattern in this record (a wavelength of 1.5418 Å).
Kinematic intensities with the Lorentz-polarization factor, no thermal factor.

Crystal structure
a = 5.4144 Å, b = 12.1704 Å, c = 6.9181 Å
α = 90.00°, β = 106.41°, γ = 90.00°
Fractional positions:
Ba: 0.2401 0.2500 0.4791
Ba: 0.7599 0.7500 0.5209
Gd: 0.1607 0.5976 0.1875
Gd: 0.1607 0.9024 0.1875
Gd: 0.8393 0.0976 0.8125
Gd: 0.8393 0.4024 0.8125
Si: 0.3037 0.5635 0.7144
Si: 0.3037 0.9365 0.7144
Si: 0.4119 0.2500 0.0086
Si: 0.5881 0.7500 0.9914
Si: 0.6963 0.0635 0.2856
Si: 0.6963 0.4365 0.2856
O: 0.0980 0.5554 0.8493
O: 0.0980 0.9446 0.8493
O: 0.1184 0.2500 0.8617
O: 0.1691 0.6274 0.5062
O: 0.1691 0.8726 0.5062
O: 0.3774 0.7500 0.1174
O: 0.4230 0.0553 0.6872
O: 0.4230 0.4447 0.6872
O: 0.4442 0.1412 0.1576
O: 0.4442 0.3588 0.1576
O: 0.5558 0.6412 0.8424
O: 0.5558 0.8588 0.8424
O: 0.5770 0.5553 0.3128
O: 0.5770 0.9447 0.3128
O: 0.6226 0.2500 0.8826
O: 0.8309 0.1274 0.4938
O: 0.8309 0.3726 0.4938
O: 0.8816 0.7500 0.1383
O: 0.9020 0.0554 0.1507
O: 0.9020 0.4446 0.1507

The 10 most intense peaks (5 to 70 degrees two-theta), most intense first:
| two_theta | I_rel |
| --- | --- |
| 27.90 | 100 |
| 25.69 | 51 |
| 28.49 | 42 |
| 30.69 | 27 |
| 15.21 | 26 |
| 18.49 | 24 |
| 33.31 | 19 |
| 40.22 | 19 |
| 41.28 | 16 |
| 55.76 | 15 |

***

No. 5
For BaPmGd, a DFT-relaxed cell (PBE, OQMD) gives the simulated X-ray powder pattern in this record (a wavelength of 1.5418 Å).
Kinematic intensities with the Lorentz-polarization factor, no thermal factor.

Crystal structure
a = 8.2740 Å, b = 8.2740 Å, c = 8.2740 Å
α = 90.00°, β = 90.00°, γ = 90.00°
Fractional positions:
Ba: 0.0000 0.0000 0.0000
Ba: 0.0000 0.5000 0.5000
Ba: 0.5000 0.0000 0.5000
Ba: 0.5000 0.5000 0.0000
Pm: 0.2500 0.2500 0.2500
Pm: 0.2500 0.7500 0.7500
Pm: 0.7500 0.2500 0.7500
Pm: 0.7500 0.7500 0.2500
Gd: 0.0000 0.0000 0.5000
Gd: 0.0000 0.5000 0.0000
Gd: 0.5000 0.0000 0.0000
Gd: 0.5000 0.5000 0.5000

The 10 most intense peaks (5 to 70 degrees two-theta), most intense first:
| two_theta | I_rel |
| --- | --- |
| 30.56 | 100 |
| 54.32 | 39 |
| 18.57 | 27 |
| 43.76 | 19 |
| 36.00 | 15 |
| 21.48 | 12 |
| 63.62 | 12 |
| 47.92 | 7 |
| 49.25 | 5 |
| 57.91 | 5 |